[1]
# KSbAsO4F2
Computed powder diffraction line list, Cu Ka. Input: DFT lattice parameters and positions (GGA-PBE).
No peak broadening, texture or thermal motion is included.

Structural model:
abc: 7.1748 7.9361 10.8826
angles: 90.00 98.25 90.00
Space group P2_1/c (No. 14)
One atom of each set of equivalent atoms:
K1 0.2482 0.0834 0.0244 (multiplicity 4)
Sb1 0.2317 0.6148 0.8573 (multiplicity 4)
As1 0.3210 0.5511 0.1756 (multiplicity 4)
O1 0.2276 0.0075 0.5229 (multiplicity 4)
O2 0.2334 0.0773 0.7749 (multiplicity 4)
O3 0.2577 0.7350 0.6915 (multiplicity 4)
O4 0.4309 0.0566 0.3125 (multiplicity 4)
F1 0.0573 0.7070 0.4065 (multiplicity 4)
F2 0.4294 0.7348 0.4378 (multiplicity 4)

Largest 12 diffraction maxima, most intense first, 2θ from 10° to 90°:
16.75 deg, intensity 100, hkl 1 1 0
27.26 deg, intensity 92, hkl 0 1 3
25.08 deg, intensity 88, hkl 2 0 0
26.47 deg, intensity 79, hkl 1 2 -1
13.86 deg, intensity 68, hkl 0 1 1
34.74 deg, intensity 48, hkl 1 2 -3
19.93 deg, intensity 40, hkl 0 1 2
35.78 deg, intensity 35, hkl 1 1 -4
27.69 deg, intensity 31, hkl 2 1 -1
44.32 deg, intensity 30, hkl 3 2 -1
48.67 deg, intensity 25, hkl 1 3 -4
31.58 deg, intensity 23, hkl 1 1 3



[2]
# KRb2AsF6
Computed powder diffraction line list, Cu Ka. Input: DFT lattice parameters and positions (GGA-PBE).
No peak broadening, texture or thermal motion is included.

Structural model:
abc: 9.2427 9.2427 9.2427
angles: 90.00 90.00 90.00
Space group Fm-3m (No. 225)
One atom of each set of equivalent atoms:
K1 0.0000 0.0000 0.0000 (multiplicity 4)
Rb1 0.2500 0.2500 0.2500 (multiplicity 8)
As1 0.0000 0.0000 0.5000 (multiplicity 4)
F1 0.0000 0.0000 0.2757 (multiplicity 24)

Largest 12 diffraction maxima, most intense first, 2θ from 10° to 90°:
27.29 deg, intensity 100, hkl 2 2 0
38.98 deg, intensity 46, hkl 4 0 0
48.24 deg, intensity 39, hkl 4 2 2
56.31 deg, intensity 28, hkl 4 4 0
77.24 deg, intensity 22, hkl 6 4 2
63.68 deg, intensity 20, hkl 6 2 0
33.59 deg, intensity 17, hkl 2 2 2
16.61 deg, intensity 10, hkl 1 1 1
70.60 deg, intensity 9, hkl 4 4 4
67.18 deg, intensity 4, hkl 6 2 2
83.71 deg, intensity 4, hkl 8 0 0
51.37 deg, intensity 3, hkl 5 1 1



[3]
# Li3AsF6
Computed powder diffraction line list, Cu Ka. Input: DFT lattice parameters and positions (GGA-PBE).
No peak broadening, texture or thermal motion is included.

Structural model:
abc: 8.0299 8.0299 8.0299
angles: 90.00 90.00 90.00
Space group Fm-3m (No. 225)
One atom of each set of equivalent atoms:
Li1 0.0000 0.0000 0.0000 (multiplicity 4)
Li2 0.2500 0.2500 0.2500 (multiplicity 8)
As1 0.0000 0.0000 0.5000 (multiplicity 4)
F1 0.0000 0.0000 0.2461 (multiplicity 24)

Largest 12 diffraction maxima, most intense first, 2θ from 10° to 90°:
22.14 deg, intensity 100, hkl 2 0 0
19.14 deg, intensity 69, hkl 1 1 1
45.17 deg, intensity 47, hkl 4 0 0
37.13 deg, intensity 43, hkl 3 1 1
50.85 deg, intensity 37, hkl 4 2 0
65.79 deg, intensity 26, hkl 4 4 0
49.48 deg, intensity 20, hkl 3 3 1
31.51 deg, intensity 17, hkl 2 2 0
70.34 deg, intensity 16, hkl 6 0 0
59.85 deg, intensity 13, hkl 3 3 3
69.22 deg, intensity 12, hkl 5 3 1
56.11 deg, intensity 8, hkl 4 2 2



[4]
# LiAsF6
Computed powder diffraction line list, Cu Ka. Input: DFT lattice parameters and positions (GGA-PBE).
No peak broadening, texture or thermal motion is included.

Structural model:
abc: 5.1424 5.1424 13.3308
angles: 90.00 90.00 120.00
Space group R-3 (No. 148, hexagonal axes)
One atom of each set of equivalent atoms:
Li1 0.0000 0.0000 0.0000 (multiplicity 3)
As1 0.0000 0.0000 0.5000 (multiplicity 3)
F1 0.0299 0.4140 0.2434 (multiplicity 18)

Largest 12 diffraction maxima, most intense first, 2θ from 10° to 90°:
24.03 deg, intensity 100, hkl 0 1 2
21.03 deg, intensity 88, hkl 1 0 1
40.54 deg, intensity 45, hkl 2 -1 3
19.98 deg, intensity 33, hkl 0 0 3
54.59 deg, intensity 27, hkl 2 -1 6
49.21 deg, intensity 21, hkl 0 2 4
33.59 deg, intensity 13, hkl 1 0 4
56.38 deg, intensity 12, hkl 3 -2 2
65.59 deg, intensity 10, hkl 3 -2 5
62.57 deg, intensity 10, hkl 3 0 0
39.39 deg, intensity 9, hkl 0 1 5
54.98 deg, intensity 8, hkl 3 -1 1